Simulated X-ray powder pattern of Rb2Ni2O3 for λ = 1.5418 Å (Cu Kα), from a structure optimized by DFT (GGA+U).

Structural model:
```
data_Rb2Ni2O3
_chemical_formula_sum 'Rb8 Ni8 O12'
_symmetry_space_group_name_H-M 'P n m a'
_symmetry_Int_Tables_number 62
_symmetry_space_group_name_Hall '-P 2ac 2n'
_cell_length_a 11.7108
_cell_length_b 6.1539
_cell_length_c 7.9690
_cell_angle_alpha 90.00
_cell_angle_beta 90.00
_cell_angle_gamma 90.00
loop_
_atom_site_label
_atom_site_fract_x
_atom_site_fract_y
_atom_site_fract_z
_atom_site_occupancy
Rb1 0.0627 0.2500 0.1286 1
Rb2 0.1246 0.7500 0.4940 1
Ni1 0.1475 0.2500 0.7158 1
Ni2 0.2259 0.7500 0.9100 1
O1 0.1229 0.2500 0.4849 1
O2 0.1487 0.9995 0.8435 1
```

Largest 12 diffraction maxima, by angle, 15 to 90 degrees two-theta:
hkl	d [Å]	Rel. int.
1 1 2	3.216	60
0 2 0	3.077	95
3 1 1	3.046	100
2 1 2	2.904	75
3 0 2	2.788	31
4 0 1	2.748	30
1 0 3	2.591	24
0 1 3	2.438	42
3 2 1	2.313	21
3 2 2	2.066	31
6 1 1	1.813	20
3 3 1	1.770	20